Li4MgCdSi2: computed X-ray diffraction stick pattern (Cu Kα (λ = 1.5418 Å)), based on the GGA-PBE geometry in OQMD.
Neutral-atom scattering factors, no anomalous dispersion.

Cell and atoms:
```
Li4MgCdSi2
1.0
4.490 0.000 0.000
0.000 4.490 0.000
0.000 0.000 6.294
Li Mg Cd Si
4 1 1 2
direct
0.000 0.000 0.000
0.000 0.500 0.745
0.500 0.000 0.255
0.500 0.500 0.500
0.500 0.500 0.000
0.000 0.000 0.500
0.000 0.500 0.242
0.500 0.000 0.758
```

Peak list (12 most intense, 2θ from 10° to 90°, most intense first)
two_theta	I/Imax
24.4	100
40.4	63
19.8	33
14.1	33
40.2	32
47.5	31
31.6	22
73.1	21
34.8	16
47.9	15
64.2	12
28.1	12

---

Pm2SiO4: computed X-ray diffraction stick pattern (Cu Kα (λ = 1.5418 Å)), based on the GGA-PBE geometry in OQMD.
Neutral-atom scattering factors, no anomalous dispersion.

Cell and atoms:
```
Pm2SiO4
1.0
5.747 0.000 0.000
0.000 6.930 0.000
-4.806 0.000 9.409
Pm Si O
8 4 16
direct
0.010 0.013 0.207
0.010 0.487 0.707
0.323 0.649 0.067
0.323 0.851 0.567
0.677 0.149 0.433
0.677 0.351 0.933
0.990 0.513 0.293
0.990 0.987 0.793
0.359 0.197 0.119
0.359 0.303 0.619
0.641 0.697 0.381
0.641 0.803 0.881
0.126 0.138 0.630
0.126 0.362 0.130
0.256 0.524 0.539
0.256 0.976 0.039
0.279 0.183 0.446
0.279 0.317 0.946
0.313 0.742 0.819
0.313 0.758 0.319
0.687 0.242 0.681
0.687 0.258 0.181
0.721 0.683 0.054
0.721 0.817 0.554
0.744 0.024 0.961
0.744 0.476 0.461
0.874 0.638 0.870
0.874 0.862 0.370
```

Peak list (12 most intense, 2θ from 10° to 90°, most intense first)
two_theta	I/Imax
31.1	100
31.3	69
32.1	43
28.8	35
33.9	25
52.5	24
22.9	23
40.2	23
30.2	20
21.6	19
56.6	18
44.0	16

---

Ho5Er2Mg: computed X-ray diffraction stick pattern (Cu Kα (λ = 1.5418 Å)), based on the GGA-PBE geometry in OQMD.
Neutral-atom scattering factors, no anomalous dispersion.

Cell and atoms:
```
Ho5Er2Mg
1.0
5.566 0.000 0.000
0.000 3.531 6.117
0.000 -3.531 6.117
Ho Er Mg
5 2 1
direct
0.000 0.000 0.000
0.000 0.001 0.500
0.000 0.500 0.001
0.500 0.328 0.836
0.500 0.836 0.328
0.000 0.500 0.500
0.500 0.837 0.837
0.500 0.334 0.334
```

Peak list (12 most intense, 2θ from 10° to 90°, most intense first)
two_theta	I/Imax
33.4	100
29.2	25
32.2	25
62.3	22
58.2	21
51.8	19
44.0	16
63.0	16
85.9	14
89.7	9
81.6	8
14.5	7

---

Pm2Tm2O5: computed X-ray diffraction stick pattern (Cu Kα (λ = 1.5418 Å)), based on the GGA-PBE geometry in OQMD.
Neutral-atom scattering factors, no anomalous dispersion.

Cell and atoms:
```
Pm2Tm2O5
1.0
3.922 0.000 0.000
0.000 3.922 0.000
0.000 0.000 9.624
Pm Tm O
2 2 5
direct
0.000 0.000 0.241
0.000 0.000 0.759
0.500 0.500 0.000
0.500 0.500 0.500
0.000 0.000 0.500
0.000 0.500 0.136
0.000 0.500 0.864
0.500 0.000 0.136
0.500 0.000 0.864
```

Peak list (12 most intense, 2θ from 10° to 90°, most intense first)
two_theta	I/Imax
29.4	100
32.3	35
55.8	34
50.2	30
46.3	19
37.4	12
61.0	12
88.7	11
62.6	11
81.3	11
75.3	7
76.9	6

---

CsNdO2: computed X-ray diffraction stick pattern (Cu Kα (λ = 1.5418 Å)), based on the GGA-PBE geometry in OQMD.
Neutral-atom scattering factors, no anomalous dispersion.

Cell and atoms:
```
CsNdO2
1.0
3.672 0.000 0.000
-1.836 3.180 0.000
0.000 0.000 13.687
Cs Nd O
2 2 4
direct
0.333 0.667 0.250
0.667 0.333 0.750
0.000 0.000 0.000
0.000 0.000 0.500
0.333 0.667 0.586
0.333 0.667 0.914
0.667 0.333 0.086
0.667 0.333 0.414
```

Peak list (12 most intense, 2θ from 10° to 90°, most intense first)
two_theta	I/Imax
31.0	100
26.0	42
34.4	37
49.2	34
49.7	30
56.9	29
28.8	28
59.7	16
76.0	13
81.3	13
38.7	11
72.5	10

---

Ta4W11: computed X-ray diffraction stick pattern (Cu Kα (λ = 1.5418 Å)), based on the GGA-PBE geometry in OQMD.
Neutral-atom scattering factors, no anomalous dispersion.

Cell and atoms:
```
Ta4W11
1.0
9.909 0.000 0.000
0.000 9.909 0.000
0.000 0.000 5.187
Ta W
8 22
direct
0.060 0.259 0.000
0.241 0.560 0.500
0.259 0.060 0.000
0.440 0.759 0.500
0.560 0.241 0.500
0.741 0.940 0.000
0.759 0.440 0.500
0.940 0.741 0.000
0.000 0.000 0.000
0.033 0.369 0.500
0.101 0.101 0.500
0.131 0.533 0.000
0.188 0.812 0.251
0.188 0.812 0.749
0.312 0.312 0.249
0.312 0.312 0.751
0.369 0.033 0.500
0.399 0.601 0.000
0.467 0.869 0.000
0.500 0.500 0.500
0.533 0.131 0.000
0.601 0.399 0.000
0.631 0.967 0.500
0.688 0.688 0.249
0.688 0.688 0.751
0.812 0.188 0.251
0.812 0.188 0.749
0.869 0.467 0.000
0.899 0.899 0.500
0.967 0.631 0.500
```

Peak list (12 most intense, 2θ from 10° to 90°, most intense first)
two_theta	I/Imax
41.4	100
37.4	81
40.3	60
42.4	44
39.2	38
38.5	35
66.6	25
65.7	23
34.6	20
85.0	16
69.0	15
43.4	14

---

AgH3C4IN: computed X-ray diffraction stick pattern (Cu Kα (λ = 1.5418 Å)), based on the GGA-PBE geometry in OQMD.
Neutral-atom scattering factors, no anomalous dispersion.

Cell and atoms:
```
AgH3C4IN
1.0
4.588 0.000 0.000
1.475 7.653 0.000
2.213 3.455 8.382
Ag H C I N
2 6 8 2 2
direct
0.229 0.345 0.051
0.771 0.655 0.949
0.257 0.659 0.700
0.355 0.321 0.547
0.400 0.043 0.800
0.600 0.957 0.200
0.645 0.679 0.453
0.743 0.341 0.300
0.004 0.923 0.575
0.244 0.777 0.585
0.431 0.945 0.307
0.456 0.788 0.451
0.544 0.212 0.549
0.569 0.055 0.693
0.756 0.223 0.415
0.996 0.077 0.425
0.176 0.679 0.129
0.824 0.321 0.871
0.211 0.086 0.293
0.789 0.914 0.707
```

Peak list (12 most intense, 2θ from 10° to 90°, most intense first)
two_theta	I/Imax
10.6	100
19.3	33
24.3	24
28.8	20
12.9	18
12.5	18
26.5	16
23.3	13
31.9	13
40.7	13
38.2	11
36.6	11

---

KRbAu2Se2: computed X-ray diffraction stick pattern (Cu Kα (λ = 1.5418 Å)), based on the GGA-PBE geometry in OQMD.
Neutral-atom scattering factors, no anomalous dispersion.

Cell and atoms:
```
KRbAu2Se2
1.0
7.120 0.000 0.000
0.000 3.380 4.191
0.000 -3.380 4.191
K Rb Au Se
1 1 2 2
direct
0.000 0.000 0.000
0.500 0.732 0.732
0.249 0.361 0.361
0.751 0.361 0.361
0.000 0.565 0.565
0.500 0.159 0.159
```

Peak list (12 most intense, 2θ from 10° to 90°, most intense first)
two_theta	I/Imax
16.8	100
30.3	76
26.4	66
33.0	47
42.7	46
43.3	27
58.6	25
49.1	20
34.7	20
24.7	16
51.3	16
21.2	15

---

ZrTlPbF7: computed X-ray diffraction stick pattern (Cu Kα (λ = 1.5418 Å)), based on the GGA-PBE geometry in OQMD.
Neutral-atom scattering factors, no anomalous dispersion.

Cell and atoms:
```
ZrTlPbF7
1.0
6.569 0.000 0.000
0.000 8.622 0.000
-2.753 0.000 5.982
Zr Tl Pb F
2 2 2 14
direct
0.204 0.250 0.287
0.796 0.750 0.713
0.500 0.000 0.000
0.500 0.500 0.000
0.188 0.750 0.320
0.812 0.250 0.680
0.021 0.250 0.469
0.140 0.750 0.931
0.194 0.250 0.960
0.226 0.018 0.264
0.226 0.482 0.264
0.422 0.250 0.630
0.468 0.750 0.702
0.532 0.250 0.298
0.578 0.750 0.370
0.774 0.518 0.736
0.774 0.982 0.736
0.806 0.750 0.040
0.860 0.250 0.069
0.979 0.750 0.531
```

Peak list (12 most intense, 2θ from 10° to 90°, most intense first)
two_theta	I/Imax
25.5	100
27.2	86
26.2	71
25.1	70
36.6	53
47.9	45
50.7	35
44.4	32
41.9	29
49.5	23
63.6	22
45.5	17

---

Cu7Ag3: computed X-ray diffraction stick pattern (Cu Kα (λ = 1.5418 Å)), based on the GGA-PBE geometry in OQMD.
Neutral-atom scattering factors, no anomalous dispersion.

Cell and atoms:
```
Cu7Ag3
1.0
6.540 0.000 0.000
0.000 2.741 0.000
-1.726 0.000 7.646
Cu Ag
7 3
direct
0.000 0.000 0.000
0.085 0.500 0.286
0.191 0.000 0.562
0.277 0.500 0.898
0.368 0.000 0.187
0.481 0.500 0.460
0.789 0.000 0.390
0.563 0.000 0.769
0.683 0.500 0.093
0.904 0.500 0.687
```

Peak list (12 most intense, 2θ from 10° to 90°, most intense first)
two_theta	I/Imax
41.2	100
46.9	66
40.9	48
41.5	47
49.9	26
71.3	16
70.5	16
83.3	11
82.9	11
68.5	10
83.6	10
82.8	10

---

YZnCoAu: computed X-ray diffraction stick pattern (Cu Kα (λ = 1.5418 Å)), based on the GGA-PBE geometry in OQMD.
Neutral-atom scattering factors, no anomalous dispersion.

Cell and atoms:
```
YZnCoAu
1.0
0.000 3.294 3.294
3.294 0.000 3.294
3.294 3.294 0.000
Y Zn Co Au
1 1 1 1
direct
0.000 0.000 0.000
0.500 0.500 0.500
0.750 0.750 0.750
0.250 0.250 0.250
```

Peak list (12 most intense, 2θ from 10° to 90°, most intense first)
two_theta	I/Imax
38.7	100
70.0	34
23.4	25
55.8	17
45.7	14
82.9	11
27.1	7
61.3	6
87.6	5
74.9	5
63.1	3
47.8	2

---

Gd3Tl3Sn2Pb2: computed X-ray diffraction stick pattern (Cu Kα (λ = 1.5418 Å)), based on the GGA-PBE geometry in OQMD.
Neutral-atom scattering factors, no anomalous dispersion.

Cell and atoms:
```
Gd3Tl3Sn2Pb2
1.0
2.274 -12.759 0.000
2.274 12.759 0.000
0.000 0.000 4.753
Gd Tl Sn Pb
3 3 2 2
direct
0.000 0.000 0.000
0.191 0.809 0.000
0.809 0.191 0.000
0.099 0.901 0.500
0.500 0.500 0.500
0.901 0.099 0.500
0.292 0.708 0.500
0.708 0.292 0.500
0.403 0.597 0.000
0.597 0.403 0.000
```

Peak list (12 most intense, 2θ from 10° to 90°, most intense first)
two_theta	I/Imax
32.4	100
35.2	18
37.9	17
39.6	15
64.9	15
61.4	13
67.4	13
52.6	12
67.8	11
56.0	11
54.0	11
86.6	8